Entry 1:
# Pu2Sn3
Simulated powder XRD pattern, Cu Ka. Input: the GGA-PBE geometry in the Materials Project.
Peak positions follow from Bragg's law for the DFT cell and can differ from measured ones.

Most intense lines, 10° ≤ 2θ ≤ 90°, by intensity:
d (Å), intensity
2.553, 100
2.570, 50
1.480, 31
3.443, 25
3.214, 17
1.817, 16

Crystal structure
```
20
Lattice="-3.6340 3.6340 10.7622 3.6340 -3.6340 10.7622 3.6340 3.6340 -10.7622" Properties=species:S:1:pos:R:3 pbc="T T T"
Pu 2.0297 1.8170 -1.7017
Pu 5.2382 1.8170 -1.7017
Pu 0.0000 0.2127 3.6794
Pu 3.6340 0.2127 7.0827
Pu 0.0000 3.4212 3.6794
Pu 3.6340 3.4212 7.0827
Pu -1.6042 1.8170 12.4638
Pu 1.6042 1.8170 12.4638
Sn 0.0000 0.0000 0.0000
Sn 1.8170 1.8170 -5.3811
Sn 1.8170 -1.8170 5.3811
Sn 3.6340 0.2144 3.7896
Sn 2.0314 1.8170 1.5915
Sn 5.2365 1.8170 1.5915
Sn 0.0000 0.2144 6.9725
Sn 0.0000 3.6340 0.0000
Sn 3.6340 3.4195 3.7896
Sn -1.6026 1.8170 9.1707
Sn 1.6026 1.8170 9.1707
Sn 0.0000 3.4195 6.9725
```

---

Entry 2:
# PuSn2
Simulated powder XRD pattern, Cu Ka. Input: the GGA-PBE geometry in the Materials Project.
Peak positions follow from Bragg's law for the DFT cell and can differ from measured ones.

Most intense lines, 10° ≤ 2θ ≤ 90°, by intensity:
d (Å), intensity
2.706, 100
2.314, 34
1.400, 28
1.667, 22
2.405, 16
1.636, 12

Crystal structure
```
12
Lattice="-2.3138 2.3138 14.4315 2.3138 -2.3138 14.4315 2.3138 2.3138 -14.4315" Properties=species:S:1:pos:R:3 pbc="T T T"
Pu 2.3138 1.1569 1.3934
Pu 2.3138 1.1569 5.8223
Pu 0.0000 1.1569 8.6091
Pu 0.0000 1.1569 13.0380
Sn 2.3138 -1.1569 8.3086
Sn 2.3138 1.1569 -3.6306
Sn 2.3138 -1.1569 13.3386
Sn 0.0000 1.1569 3.5851
Sn 2.3138 1.1569 10.8463
Sn 0.0000 3.4707 1.0929
Sn 0.0000 1.1569 18.0620
Sn 0.0000 3.4707 6.1228
```